Structure and calculated powder diffraction line list of Tb6PmY4 (the PBE geometry in Alexandria; a wavelength of 1.5418 Å).

Most intense lines, 15 to 90 degrees two-theta, in order of rising 2θ:
2θ = 21.8°, I = 34
2θ = 29.1°, I = 63
2θ = 29.3°, I = 25
2θ = 30.9°, I = 89
2θ = 31.1°, I = 29
2θ = 34.3°, I = 100
2θ = 36.8°, I = 30
2θ = 38.8°, I = 28
2θ = 40.4°, I = 36
2θ = 64.5°, I = 24

Structure:
Unit cell a=9.789 b=9.789 c=9.789 alpha=140.83 beta=140.83 gamma=56.59
Atoms (fractional coordinates):
Tb (0.000, 0.500, 0.500)
Tb (0.048, 0.691, 0.000)
Tb (0.309, 0.309, 0.357)
Tb (0.500, 0.000, 0.500)
Tb (0.691, 0.048, 0.000)
Tb (0.952, 0.952, 0.643)
Pm (0.500, 0.500, 0.000)
Y (0.138, 0.138, 0.626)
Y (0.488, 0.862, 0.000)
Y (0.512, 0.512, 0.374)
Y (0.862, 0.488, 0.000)

Structure and calculated powder diffraction line list of Tb5Pm4Y4 (the PBE geometry in Alexandria; a wavelength of 1.5418 Å).

Most intense lines, 15 to 90 degrees two-theta, in order of rising 2θ:
2θ = 30.5°, I = 100
2θ = 35.3°, I = 34
2θ = 35.5°, I = 17
2θ = 50.8°, I = 12
2θ = 50.9°, I = 24
2θ = 60.4°, I = 29
2θ = 60.6°, I = 14
2θ = 63.4°, I = 12
2θ = 82.9°, I = 12
2θ = 85.4°, I = 11

Structure:
Unit cell a=9.514 b=9.514 c=9.514 alpha=94.06 beta=94.06 gamma=149.13
Atoms (fractional coordinates):
Tb (0.000, 0.000, 0.000)
Tb (0.310, 0.462, 0.771)
Tb (0.462, 0.690, 0.152)
Tb (0.538, 0.310, 0.848)
Tb (0.690, 0.538, 0.229)
Pm (0.077, 0.616, 0.694)
Pm (0.384, 0.077, 0.461)
Pm (0.616, 0.923, 0.539)
Pm (0.923, 0.384, 0.306)
Y (0.153, 0.230, 0.383)
Y (0.230, 0.847, 0.076)
Y (0.770, 0.153, 0.924)
Y (0.847, 0.770, 0.617)

Structure and calculated powder diffraction line list of Tb3Pm3Y8 (the PBE geometry in Alexandria; a wavelength of 1.5418 Å).

Most intense lines, 15 to 90 degrees two-theta, in order of rising 2θ:
2θ = 28.8°, I = 23
2θ = 29.6°, I = 28
2θ = 30.5°, I = 29
2θ = 31.4°, I = 49
2θ = 31.6°, I = 100
2θ = 33.6°, I = 47
2θ = 44.3°, I = 21
2θ = 56.1°, I = 19
2θ = 57.4°, I = 22
2θ = 62.0°, I = 12

Structure:
Unit cell a=9.722 b=9.722 c=9.722 alpha=145.96 beta=112.30 gamma=77.99
Atoms (fractional coordinates):
Tb (0.000, 0.000, 0.000)
Tb (0.298, 0.000, 0.298)
Tb (0.702, 0.000, 0.702)
Pm (0.318, 0.818, 0.500)
Pm (0.500, 0.500, 0.000)
Pm (0.682, 0.182, 0.500)
Y (0.056, 0.397, 0.659)
Y (0.061, 0.221, 0.840)
Y (0.261, 0.603, 0.659)
Y (0.380, 0.221, 0.160)
Y (0.620, 0.779, 0.840)
Y (0.739, 0.397, 0.341)
Y (0.939, 0.779, 0.160)
Y (0.944, 0.603, 0.341)

Structure and calculated powder diffraction line list of Tb4Pm3Y3 (the PBE geometry in Alexandria; a wavelength of 1.5418 Å).

Most intense lines, 15 to 90 degrees two-theta, in order of rising 2θ:
2θ = 29.9°, I = 48
2θ = 30.6°, I = 18
2θ = 32.0°, I = 100
2θ = 34.3°, I = 8
2θ = 38.1°, I = 9
2θ = 46.5°, I = 11
2θ = 49.0°, I = 10
2θ = 55.4°, I = 12
2θ = 58.0°, I = 9
2θ = 58.4°, I = 14

Structure:
Unit cell a=3.721 b=9.450 c=9.450 alpha=89.71 beta=90.00 gamma=90.00
Atoms (fractional coordinates):
Tb (0.000, 0.000, 0.000)
Tb (0.000, 0.254, 0.254)
Tb (0.000, 0.501, 0.754)
Tb (0.000, 0.754, 0.501)
Pm (0.500, 0.299, 0.954)
Pm (0.500, 0.454, 0.454)
Pm (0.500, 0.954, 0.299)
Y (0.000, 0.123, 0.628)
Y (0.000, 0.628, 0.123)
Y (0.500, 0.799, 0.799)

Structure and calculated powder diffraction line list of Tb5Pm2Y12 (the PBE geometry in Alexandria; a wavelength of 1.5418 Å).

Most intense lines, 15 to 90 degrees two-theta, in order of rising 2θ:
2θ = 27.4°, I = 13
2θ = 31.1°, I = 53
2θ = 31.4°, I = 100
2θ = 31.8°, I = 30
2θ = 32.0°, I = 40
2θ = 32.2°, I = 41
2θ = 32.4°, I = 14
2θ = 32.8°, I = 40
2θ = 33.7°, I = 16
2θ = 58.5°, I = 15

Structure:
Unit cell a=6.762 b=8.853 c=11.436 alpha=110.96 beta=92.35 gamma=100.47
Atoms (fractional coordinates):
Tb (0.000, 0.000, 0.000)
Tb (0.344, 0.616, 0.430)
Tb (0.457, 0.818, 0.038)
Tb (0.543, 0.182, 0.962)
Tb (0.656, 0.384, 0.570)
Pm (0.121, 0.264, 0.514)
Pm (0.879, 0.736, 0.486)
Y (0.109, 0.692, 0.724)
Y (0.117, 0.853, 0.264)
Y (0.162, 0.443, 0.085)
Y (0.338, 0.429, 0.812)
Y (0.348, 0.024, 0.633)
Y (0.384, 0.219, 0.253)
Y (0.616, 0.781, 0.747)
Y (0.652, 0.976, 0.367)
Y (0.662, 0.571, 0.188)
Y (0.838, 0.557, 0.915)
Y (0.883, 0.147, 0.736)
Y (0.891, 0.308, 0.276)

Structure and calculated powder diffraction line list of Tb2Pm4Y (the PBE geometry in Alexandria; a wavelength of 1.5418 Å).

Most intense lines, 15 to 90 degrees two-theta, in order of rising 2θ:
2θ = 29.4°, I = 100
2θ = 31.1°, I = 66
2θ = 32.7°, I = 12
2θ = 33.5°, I = 54
2θ = 34.1°, I = 16
2θ = 48.1°, I = 11
2θ = 57.3°, I = 15
2θ = 58.3°, I = 11
2θ = 60.6°, I = 28
2θ = 80.9°, I = 12

Structure:
Unit cell a=6.292 b=6.292 c=15.629 alpha=90.00 beta=90.00 gamma=129.64
Atoms (fractional coordinates):
Tb (0.108, 0.892, 0.843)
Tb (0.392, 0.608, 0.343)
Tb (0.608, 0.392, 0.657)
Tb (0.892, 0.108, 0.157)
Pm (0.098, 0.902, 0.306)
Pm (0.204, 0.796, 0.071)
Pm (0.296, 0.704, 0.571)
Pm (0.402, 0.598, 0.806)
Pm (0.598, 0.402, 0.194)
Pm (0.704, 0.296, 0.429)
Pm (0.796, 0.204, 0.929)
Pm (0.902, 0.098, 0.694)
Y (0.000, 0.000, 0.500)
Y (0.500, 0.500, 0.000)

Structure and calculated powder diffraction line list of Tb2Pm3Y8 (the PBE geometry in Alexandria; a wavelength of 1.5418 Å).

Most intense lines, 15 to 90 degrees two-theta, in order of rising 2θ:
2θ = 24.7°, I = 26
2θ = 29.5°, I = 31
2θ = 30.8°, I = 32
2θ = 31.4°, I = 41
2θ = 33.2°, I = 100
2θ = 35.5°, I = 13
2θ = 40.4°, I = 14
2θ = 48.2°, I = 11
2θ = 57.1°, I = 21
2θ = 64.0°, I = 11

Structure:
Unit cell a=7.718 b=5.690 c=10.817 alpha=90.00 beta=110.86 gamma=90.00
Atoms (fractional coordinates):
Tb (0.242, 0.000, 0.483)
Tb (0.758, 0.000, 0.517)
Pm (0.000, 0.000, 0.000)
Pm (0.290, 0.500, 0.000)
Pm (0.710, 0.500, 0.000)
Y (0.135, 0.500, 0.269)
Y (0.182, 0.000, 0.784)
Y (0.328, 0.500, 0.656)
Y (0.398, 0.000, 0.216)
Y (0.602, 0.000, 0.784)
Y (0.672, 0.500, 0.344)
Y (0.818, 0.000, 0.216)
Y (0.865, 0.500, 0.731)

Structure and calculated powder diffraction line list of Tb3Pm2Y6 (the PBE geometry in Alexandria; a wavelength of 1.5418 Å).

Most intense lines, 15 to 90 degrees two-theta, in order of rising 2θ:
2θ = 30.8°, I = 100
2θ = 31.0°, I = 33
2θ = 35.8°, I = 66
2θ = 51.4°, I = 23
2θ = 51.6°, I = 23
2θ = 61.1°, I = 9
2θ = 61.2°, I = 23
2θ = 61.3°, I = 9
2θ = 61.4°, I = 9
2θ = 64.2°, I = 12

Structure:
Unit cell a=6.163 b=6.163 c=11.722 alpha=95.07 beta=95.07 gamma=120.09
Atoms (fractional coordinates):
Tb (0.000, 0.000, 0.000)
Tb (0.335, 0.665, 0.000)
Tb (0.665, 0.335, 0.000)
Pm (0.167, 0.833, 0.500)
Pm (0.833, 0.167, 0.500)
Y (0.083, 0.416, 0.249)
Y (0.250, 0.250, 0.751)
Y (0.416, 0.083, 0.249)
Y (0.584, 0.917, 0.751)
Y (0.750, 0.750, 0.249)
Y (0.917, 0.584, 0.751)

Structure and calculated powder diffraction line list of Tb8Pm3Y3 (the PBE geometry in Alexandria; a wavelength of 1.5418 Å).

Most intense lines, 15 to 90 degrees two-theta, in order of rising 2θ:
2θ = 25.2°, I = 13
2θ = 29.7°, I = 25
2θ = 30.4°, I = 16
2θ = 31.6°, I = 100
2θ = 33.8°, I = 34
2θ = 44.4°, I = 12
2θ = 56.2°, I = 13
2θ = 57.6°, I = 12
2θ = 60.6°, I = 9
2θ = 61.9°, I = 11

Structure:
Unit cell a=9.699 b=9.699 c=9.699 alpha=145.99 beta=111.71 gamma=78.53
Atoms (fractional coordinates):
Tb (0.055, 0.897, 0.158)
Tb (0.063, 0.722, 0.340)
Tb (0.261, 0.103, 0.158)
Tb (0.382, 0.722, 0.660)
Tb (0.618, 0.278, 0.340)
Tb (0.739, 0.897, 0.842)
Tb (0.937, 0.278, 0.660)
Tb (0.945, 0.103, 0.842)
Pm (0.317, 0.317, 0.000)
Pm (0.500, 0.000, 0.500)
Pm (0.683, 0.683, 0.000)
Y (0.000, 0.500, 0.500)
Y (0.298, 0.500, 0.798)
Y (0.702, 0.500, 0.202)

Structure and calculated powder diffraction line list of Tb2PmY6 (the PBE geometry in Alexandria; a wavelength of 1.5418 Å).

Most intense lines, 15 to 90 degrees two-theta, in order of rising 2θ:
2θ = 18.5°, I = 3
2θ = 25.6°, I = 2
2θ = 30.6°, I = 100
2θ = 35.5°, I = 50
2θ = 51.1°, I = 35
2θ = 60.7°, I = 41
2θ = 63.7°, I = 12
2θ = 75.1°, I = 5
2θ = 83.2°, I = 17
2θ = 85.9°, I = 16

Structure:
Unit cell a=10.730 b=10.730 c=5.062 alpha=90.00 beta=90.00 gamma=90.00
Atoms (fractional coordinates):
Tb (0.167, 0.167, 0.000)
Tb (0.333, 0.667, 0.500)
Tb (0.667, 0.333, 0.500)
Tb (0.833, 0.833, 0.000)
Pm (0.000, 0.000, 0.500)
Pm (0.500, 0.500, 0.000)
Y (0.000, 0.333, 0.500)
Y (0.000, 0.667, 0.500)
Y (0.167, 0.500, 0.000)
Y (0.167, 0.833, 0.000)
Y (0.333, 0.000, 0.500)
Y (0.333, 0.333, 0.500)
Y (0.500, 0.167, 0.000)
Y (0.500, 0.833, 0.000)
Y (0.667, 0.000, 0.500)
Y (0.667, 0.667, 0.500)
Y (0.833, 0.167, 0.000)
Y (0.833, 0.500, 0.000)

Structure and calculated powder diffraction line list of TbPm2Y3 (the PBE geometry in Alexandria; a wavelength of 1.5418 Å).

Most intense lines, 15 to 90 degrees two-theta, in order of rising 2θ:
2θ = 23.0°, I = 14
2θ = 30.4°, I = 62
2θ = 31.4°, I = 100
2θ = 31.6°, I = 29
2θ = 32.1°, I = 49
2θ = 32.2°, I = 23
2θ = 36.0°, I = 14
2θ = 45.6°, I = 21
2θ = 56.1°, I = 14
2θ = 56.8°, I = 29

Structure:
Unit cell a=8.949 b=8.949 c=8.433 alpha=92.46 beta=92.46 gamma=36.35
Atoms (fractional coordinates):
Tb (0.058, 0.058, 0.155)
Tb (0.942, 0.942, 0.845)
Pm (0.094, 0.094, 0.588)
Pm (0.394, 0.394, 0.664)
Pm (0.606, 0.606, 0.336)
Pm (0.906, 0.906, 0.412)
Y (0.221, 0.221, 0.909)
Y (0.248, 0.248, 0.347)
Y (0.415, 0.415, 0.109)
Y (0.585, 0.585, 0.891)
Y (0.752, 0.752, 0.653)
Y (0.779, 0.779, 0.091)

Structure and calculated powder diffraction line list of TbPm6Y2 (the PBE geometry in Alexandria; a wavelength of 1.5418 Å).

Most intense lines, 15 to 90 degrees two-theta, in order of rising 2θ:
2θ = 19.7°, I = 22
2θ = 27.2°, I = 13
2θ = 27.6°, I = 15
2θ = 28.7°, I = 18
2θ = 30.9°, I = 100
2θ = 30.9°, I = 18
2θ = 31.8°, I = 16
2θ = 36.3°, I = 21
2θ = 40.0°, I = 21
2θ = 48.1°, I = 16

Structure:
Unit cell a=7.566 b=7.566 c=6.227 alpha=90.13 beta=90.13 gamma=59.85
Atoms (fractional coordinates):
Tb (0.000, 0.000, 0.000)
Pm (0.188, 0.188, 0.292)
Pm (0.188, 0.624, 0.293)
Pm (0.376, 0.812, 0.707)
Pm (0.624, 0.188, 0.293)
Pm (0.812, 0.376, 0.707)
Pm (0.812, 0.812, 0.708)
Y (0.334, 0.334, 0.790)
Y (0.666, 0.666, 0.210)